Na6CoS4: theoretical X-ray powder pattern (Cu Kα (λ = 1.5418 Å)), based on a GGA-PBE-relaxed structure.

Most intense lines, 2θ = 5–70°, in order of rising 2θ:
h k l  two_theta  d_spacing  intensity
1 0 0  11.5  7.712  75.1
1 0 1  17.2  5.146  63.8
2 1 1  33.4  2.686  76.6
2 0 2  34.9  2.573  70.1
2 2 0  40.5  2.226  100.0
2 0 3  45.9  1.977  30.8

a b c (Å): 8.9048 8.9048 6.9100
angles (deg): 90.00 90.00 120.00
Space group P6_3mc (No. 186)
Inequivalent atoms, fractional coordinates:
1 Na 0.0619 0.5310 0.0000 x6
2 Na 0.1472 0.2945 0.6725 x6
3 Co 0.3333 0.6667 0.3851 x2
4 S 0.1902 0.3805 0.2785 x6
5 S 0.3333 0.6667 0.7204 x2